[1]
For CeSm6Y10, the GGA-PBE geometry in Alexandria gives the computed X-ray diffraction stick pattern in this record (Cu Ka).
Kinematic intensities with the Lorentz-polarization factor, no thermal factor.

Peak list (10 most intense, 15° ≤ 2θ ≤ 90°, low angle first)
2θ = 22.34°, 3.979 Å, intensity 16; 2θ = 30.93°, 2.891 Å, intensity 53; 2θ = 31.71°, 2.822 Å, intensity 100; 2θ = 31.90°, 2.806 Å, intensity 75; 2θ = 40.79°, 2.212 Å, intensity 18; 2θ = 45.60°, 1.990 Å, intensity 23; 2θ = 48.97°, 1.860 Å, intensity 12; 2θ = 56.37°, 1.632 Å, intensity 17; 2θ = 56.72°, 1.623 Å, intensity 15; 2θ = 59.64°, 1.550 Å, intensity 13

Structure:
Cell lengths 9.7193, 9.7193, 6.9308 Å; angles 90.00, 90.00, 120.00 degrees
Space group P-31m (No. 162)
Symmetry-distinct sites (fractional):
Ce (0.0000, 0.0000, 0.0000) x1
Sm (0.0000, 0.3794, 0.2004) x6
Y (0.0000, 0.2716, 0.6845) x6
Y (0.3333, 0.6667, 0.0000) x2
Y (0.3333, 0.6667, 0.5000) x2

---

[2]
For CeSm5Y, the GGA-PBE geometry in Alexandria gives the computed X-ray diffraction stick pattern in this record (Cu Ka).
Kinematic intensities with the Lorentz-polarization factor, no thermal factor.

Peak list (10 most intense, 15° ≤ 2θ ≤ 90°, low angle first)
2θ = 27.18°, 3.281 Å, intensity 19; 2θ = 27.36°, 3.260 Å, intensity 20; 2θ = 30.46°, 2.934 Å, intensity 100; 2θ = 30.93°, 2.891 Å, intensity 14; 2θ = 32.38°, 2.765 Å, intensity 15; 2θ = 33.21°, 2.698 Å, intensity 41; 2θ = 35.11°, 2.556 Å, intensity 23; 2θ = 36.41°, 2.468 Å, intensity 14; 2θ = 36.63°, 2.453 Å, intensity 13; 2θ = 57.64°, 1.599 Å, intensity 16

Structure:
Cell lengths 5.3953, 5.6447, 7.8287 Å; angles 101.57, 90.17, 90.30 degrees
Space group P-1 (No. 2)
Symmetry-distinct sites (fractional):
Ce (0.0000, 0.0000, 0.0000) x1
Sm (0.0000, 0.0000, 0.5000) x1
Sm (0.0024, 0.5333, 0.7879) x2
Sm (0.4992, 0.8513, 0.1756) x2
Y (0.5000, 0.5000, 0.5000) x1

---

[3]
For CeSm2Y7, the GGA-PBE geometry in Alexandria gives the computed X-ray diffraction stick pattern in this record (Cu Ka).
Kinematic intensities with the Lorentz-polarization factor, no thermal factor.

Peak list (10 most intense, 15° ≤ 2θ ≤ 90°, low angle first)
2θ = 16.14°, 5.491 Å, intensity 38; 2θ = 19.82°, 4.480 Å, intensity 29; 2θ = 20.30°, 4.374 Å, intensity 28; 2θ = 29.60°, 3.018 Å, intensity 38; 2θ = 32.62°, 2.745 Å, intensity 41; 2θ = 33.05°, 2.710 Å, intensity 100; 2θ = 35.26°, 2.545 Å, intensity 47; 2θ = 44.62°, 2.031 Å, intensity 24; 2θ = 58.48°, 1.578 Å, intensity 19; 2θ = 62.27°, 1.491 Å, intensity 20

Structure:
Cell lengths 8.7476, 16.6762, 5.4908 Å; angles 90.00, 90.00, 90.00 degrees
Space group Cmmm (No. 65)
Symmetry-distinct sites (fractional):
Ce (0.0000, 0.0000, 0.0000) x2
Sm (0.0000, 0.2974, 0.5000) x4
Y (0.0000, 0.2083, 0.0000) x4
Y (0.0000, 0.5000, 0.5000) x2
Y (0.1769, 0.1118, 0.5000) x8

---

[4]
For CeSm3Y, the GGA-PBE geometry in Alexandria gives the computed X-ray diffraction stick pattern in this record (Cu Ka).
Kinematic intensities with the Lorentz-polarization factor, no thermal factor.

Peak list (10 most intense, 15° ≤ 2θ ≤ 90°, low angle first)
2θ = 27.90°, 3.197 Å, intensity 18; 2θ = 30.72°, 2.911 Å, intensity 41; 2θ = 31.29°, 2.859 Å, intensity 100; 2θ = 31.69°, 2.824 Å, intensity 64; 2θ = 32.49°, 2.756 Å, intensity 78; 2θ = 32.97°, 2.717 Å, intensity 15; 2θ = 33.45°, 2.679 Å, intensity 27; 2θ = 33.80°, 2.652 Å, intensity 16; 2θ = 37.43°, 2.403 Å, intensity 15; 2θ = 62.59°, 1.484 Å, intensity 14

Structure:
Cell lengths 7.1117, 9.1234, 11.8816 Å; angles 106.73, 100.21, 108.55 degrees
Space group P-1 (No. 2)
Symmetry-distinct sites (fractional):
Ce (0.1800, 0.3626, 0.4753) x2
Ce (0.2947, 0.1122, 0.4751) x2
Sm (0.0686, 0.5680, 0.7733) x2
Sm (0.0785, 0.0793, 0.1578) x2
Sm (0.1757, 0.1769, 0.7171) x2
Sm (0.2950, 0.7953, 0.2262) x2
Sm (0.3232, 0.8229, 0.6462) x2
Sm (0.4584, 0.4602, 0.2833) x2
Y (0.2129, 0.4246, 0.0001) x2
Y (0.4655, 0.1671, 0.0006) x2